RbCoBr2F: computed PXRD pattern (CuKα), based on DFT lattice parameters and positions (PBE+U).
No peak broadening, texture or thermal motion is included.

Principal peaks in the range 10 to 80 degrees two-theta, by angle:
12.08 deg, I 57, (1 0 0); 12.49 deg, I 92, (1 0 -1); 29.54 deg, I 65, (1 1 -2); 29.78 deg, I 87, (2 0 1); 30.22 deg, I 73, (0 1 2); 38.57 deg, I 100, (2 1 -3)

Crystal structure
a = 7.9145 Å, b = 4.0172 Å, c = 9.4408 Å
α = 90.00°, β = 112.18°, γ = 90.00°
Space group P2_1/m (No. 11)
Symmetry-distinct sites (fractional):
1 Rb 0.1306 0.2500 0.3674 [2 per cell]
2 Co 0.3677 0.2500 0.8164 [2 per cell]
3 Br 0.2983 0.7500 0.9802 [2 per cell]
4 Br 0.4441 0.7500 0.6665 [2 per cell]
5 F 0.1140 0.2500 0.6720 [2 per cell]